# 1
Structure and computed powder diffractogram of Ba2LiCeS5 (a DFT-relaxed cell (PBE, Alexandria); Cu Kα, 1.54184 Å).

Main lines, by angle (2θ = 15–90°):
| d (Å) | 2θ (°) | intensity |
| --- | --- | --- |
| 4.330 | 20.5 | 26 |
| 4.212 | 21.1 | 30 |
| 3.823 | 23.3 | 46 |
| 2.995 | 29.8 | 100 |
| 2.493 | 36.0 | 35 |
| 2.171 | 41.6 | 22 |

Cell and atoms:
Cell lengths 8.9278, 8.9278, 12.7803 Å; angles 90.00, 90.00, 151.85 degrees
Positions (direct):
1 Ba 0.1089 0.8911 0.5000
2 Ba 0.1243 0.8757 0.8579
3 Ba 0.8757 0.1243 0.3579
4 Ba 0.8911 0.1089 0.0000
5 Li 0.4799 0.5201 0.6730
6 Li 0.5201 0.4799 0.1730
7 Ce 0.1853 0.8146 0.2002
8 Ce 0.8146 0.1853 0.7002
9 S 0.0359 0.9641 0.2461
10 S 0.3049 0.6951 0.8404
11 S 0.3423 0.6577 0.1741
12 S 0.3430 0.6570 0.5591
13 S 0.4720 0.5280 0.4800
14 S 0.5280 0.4720 0.9800
15 S 0.6570 0.3430 0.0591
16 S 0.6577 0.3423 0.6741
17 S 0.6951 0.3049 0.3404
18 S 0.9641 0.0359 0.7461

---

# 2
Structure and computed powder diffractogram of Pr5Nd4Sn2 (a DFT-relaxed cell (PBE, Alexandria); Cu Kα, 1.54184 Å).

Main lines, by angle (2θ = 15–90°):
| d (Å) | 2θ (°) | intensity |
| --- | --- | --- |
| 4.642 | 19.1 | 19 |
| 2.880 | 31.1 | 100 |
| 2.747 | 32.6 | 20 |
| 2.693 | 33.3 | 94 |
| 1.967 | 46.1 | 34 |
| 1.588 | 58.1 | 34 |

Cell and atoms:
Cell lengths 16.1666, 16.1666, 16.1666 Å; angles 19.18, 19.18, 19.18 degrees
Positions (direct):
1 Pr 0.0000 0.0000 0.0000
2 Pr 0.1477 0.1477 0.1477
3 Pr 0.3045 0.3045 0.3045
4 Pr 0.6955 0.6955 0.6955
5 Pr 0.8523 0.8523 0.8523
6 Nd 0.0728 0.0728 0.0728
7 Nd 0.2265 0.2265 0.2265
8 Nd 0.7735 0.7735 0.7735
9 Nd 0.9272 0.9272 0.9272
10 Sn 0.3803 0.3803 0.3803
11 Sn 0.6197 0.6197 0.6197